Calculated XRD peak list
Compound: BaLi2CrN4
Radiation: Cu Ka
Structure: a crystal structure in Alexandria, relaxed with GGA-PBE
No peak broadening, texture or thermal motion is included.

Most intense lines, 10° ≤ 2θ ≤ 90°, low angle first:
Position (°2θ)  intensity  index
20.04  26.2  1 0 1
22.83  100.0  1 1 0
23.85  34.0  0 0 2
32.51  30.2  2 0 0
33.25  85.4  1 1 2
38.49  24.2  2 1 1
40.72  40.3  2 0 2
46.65  18.6  2 2 0
58.48  32.4  3 1 2
59.89  18.2  2 0 4

Structure:
Lattice parameters (Å, degrees): 5.508 5.508 7.462 90.00 90.00 90.00
Space group I-42m (No. 121)
Inequivalent atoms, fractional coordinates:
Ba1 0.000 0.000 0.000 (multiplicity 2)
Li1 0.000 0.500 0.250 (multiplicity 4)
Cr1 0.000 0.000 0.500 (multiplicity 2)
N1 0.177 0.177 0.358 (multiplicity 8)